No. 1
# NdAlPdPt
Computed powder XRD pattern, Cu Kα (weighted mean of Kα1 and Kα2). Input: a crystal structure in Alexandria, relaxed with PBE.
Neutral-atom scattering factors, no anomalous dispersion.

Main lines, by angle (2θ = 10–90°):
hkl 1 1 0, 2θ 24.20, I = 76; hkl 1 1 -1, 2θ 26.41, I = 15; hkl 1 1 1, 2θ 33.95, I = 90; hkl 2 0 1, 2θ 38.74, I = 86; hkl 0 2 0, 2θ 41.16, I = 100; hkl 4 0 0, 2θ 54.38, I = 24; hkl 2 2 1, 2θ 57.75, I = 18; hkl 3 1 2, 2θ 72.08, I = 15; hkl 5 1 0, 2θ 73.36, I = 18; hkl 6 0 -2, 2θ 75.01, I = 17

Structural model:
```
data_NdAlPdPt
_cell_length_a 7.592
_cell_length_b 4.390
_cell_length_c 5.506
_cell_angle_alpha 90.00
_cell_angle_beta 117.21
_cell_angle_gamma 90.00
_symmetry_space_group_name_H-M 'C 1 m 1'
_symmetry_Int_Tables_number 8
loop_
_symmetry_equiv_pos_as_xyz
'x,y,z'
'x,-y,z'
'x+1/2,y+1/2,z'
'x+1/2,-y+1/2,z'
loop_
_atom_site_label
_atom_site_fract_x
_atom_site_fract_y
_atom_site_fract_z
_atom_site_occupancy
Nd1 0.000 0.000 0.000 1
Al1 0.493 0.000 0.480 1
Pd1 0.211 0.000 0.634 1
Pt1 0.289 0.500 0.368 1
```


No. 2
# Nd2Al5PdRh2
Computed powder XRD pattern, Cu Kα (weighted mean of Kα1 and Kα2). Input: a crystal structure in Alexandria, relaxed with PBE.
Neutral-atom scattering factors, no anomalous dispersion.

Main lines, by angle (2θ = 10–90°):
hkl 0 0 1, 2θ 24.17, I = 66; hkl 2 2 0, 2θ 24.89, I = 24; hkl 3 1 0, 2θ 27.89, I = 48; hkl 3 2 0, 2θ 31.89, I = 25; hkl 2 2 1, 2θ 34.97, I = 40; hkl 4 1 0, 2θ 36.62, I = 54; hkl 3 1 1, 2θ 37.23, I = 100; hkl 3 2 1, 2θ 40.42, I = 52; hkl 4 1 1, 2θ 44.36, I = 26; hkl 0 0 2, 2θ 49.51, I = 23

Structural model:
```
data_Nd2Al5PdRh2
_cell_length_a 10.117
_cell_length_b 10.117
_cell_length_c 3.682
_cell_angle_alpha 90.00
_cell_angle_beta 90.00
_cell_angle_gamma 90.00
_symmetry_space_group_name_H-M 'P 4/m b m'
_symmetry_Int_Tables_number 127
_symmetry_space_group_name_Hall '-P 4 2ab'
loop_
_atom_site_label
_atom_site_fract_x
_atom_site_fract_y
_atom_site_fract_z
_atom_site_occupancy
Nd1 0.187 0.313 0.000 1
Al1 0.000 0.500 0.500 1
Al2 0.049 0.803 0.500 1
Pd1 0.000 0.000 0.000 1
Rh1 0.115 0.615 0.000 1
```


No. 3
# Nd2AlSiPd6
Computed powder XRD pattern, Cu Kα (weighted mean of Kα1 and Kα2). Input: a crystal structure in Alexandria, relaxed with PBE.
Neutral-atom scattering factors, no anomalous dispersion.

Main lines, by angle (2θ = 10–90°):
hkl 0 0 1, 2θ 15.67, I = 23; hkl 1 1 -1, 2θ 29.45, I = 33; hkl 0 1 2, 2θ 31.50, I = 30; hkl 0 0 2, 2θ 31.63, I = 37; hkl 2 0 0, 2θ 32.96, I = 100; hkl 2 2 2, 2θ 35.79, I = 52; hkl 2 2 0, 2θ 37.26, I = 22; hkl 0 2 2, 2θ 39.38, I = 41; hkl 2 0 2, 2θ 39.48, I = 40; hkl 2 4 2, 2θ 58.05, I = 16

Structural model:
```
data_Nd2AlSiPd6
_cell_length_a 6.376
_cell_length_b 6.390
_cell_length_c 6.409
_cell_angle_alpha 66.16
_cell_angle_beta 66.25
_cell_angle_gamma 62.04
_symmetry_space_group_name_H-M 'P -1'
_symmetry_Int_Tables_number 2
loop_
_symmetry_equiv_pos_as_xyz
'x,y,z'
'-x,-y,-z'
loop_
_atom_site_label
_atom_site_fract_x
_atom_site_fract_y
_atom_site_fract_z
_atom_site_occupancy
Nd1 0.235 0.239 0.312 1
Al1 0.500 0.500 0.500 1
Si1 0.000 0.000 0.000 1
Pd1 0.232 0.655 0.848 1
Pd2 0.237 0.248 0.788 1
Pd3 0.347 0.780 0.151 1
```


No. 4
# Nd3AlSi2Pd9
Computed powder XRD pattern, Cu Kα (weighted mean of Kα1 and Kα2). Input: a crystal structure in Alexandria, relaxed with PBE.
Neutral-atom scattering factors, no anomalous dispersion.

Main lines, by angle (2θ = 10–90°):
hkl 0 0 1, 2θ 10.02, I = 13; hkl 0 0 3, 2θ 30.36, I = 34; hkl 0 2 1, 2θ 34.15, I = 100; hkl 2 0 2, 2θ 38.57, I = 88; hkl 2 0 3, 2θ 45.12, I = 11; hkl 0 2 4, 2θ 53.20, I = 22; hkl 2 2 0, 2θ 58.10, I = 25; hkl 0 2 5, 2θ 62.49, I = 13; hkl 2 2 3, 2θ 66.96, I = 18; hkl 0 4 2, 2θ 71.92, I = 12

Structural model:
```
data_Nd3AlSi2Pd9
_cell_length_a 6.3511
_cell_length_b 6.3511
_cell_length_c 8.8317
_cell_angle_alpha 90.00
_cell_angle_beta 90.00
_cell_angle_gamma 120.00
_symmetry_space_group_name_H-M 'P -3 m 1'
_symmetry_Int_Tables_number 164
_symmetry_space_group_name_Hall '-P 3 2"'
loop_
_atom_site_label
_atom_site_fract_x
_atom_site_fract_y
_atom_site_fract_z
_atom_site_occupancy
Nd1 0.0000 0.0000 0.0000 1
Nd2 0.3333 0.6667 0.6731 1
Al1 0.0000 0.0000 0.5000 1
Si1 0.3333 0.6667 0.1756 1
Pd1 0.0000 0.5000 0.0000 1
Pd2 0.1462 0.2923 0.2872 1
```


No. 5
# Nd2AlZn3Pd4
Computed powder XRD pattern, Cu Kα (weighted mean of Kα1 and Kα2). Input: a crystal structure in Alexandria, relaxed with PBE.
Neutral-atom scattering factors, no anomalous dispersion.

Main lines, by angle (2θ = 10–90°):
hkl 1 1 0, 2θ 29.77, I = 20; hkl 1 0 3, 2θ 32.83, I = 71; hkl 1 1 2, 2θ 34.27, I = 100; hkl 2 0 0, 2θ 42.60, I = 62; hkl 1 1 4, 2θ 45.46, I = 16; hkl 1 0 5, 2θ 47.66, I = 34; hkl 2 1 3, 2θ 54.81, I = 32; hkl 2 2 0, 2θ 61.82, I = 20; hkl 2 1 5, 2θ 65.82, I = 25; hkl 3 1 2, 2θ 72.63, I = 22

Structural model:
```
data_Nd2AlZn3Pd4
_cell_length_a 4.245
_cell_length_b 4.245
_cell_length_c 10.681
_cell_angle_alpha 90.00
_cell_angle_beta 90.00
_cell_angle_gamma 90.00
_symmetry_space_group_name_H-M 'P -4 m 2'
_symmetry_Int_Tables_number 115
loop_
_symmetry_equiv_pos_as_xyz
'x,y,z'
'y,-x,-z'
'-x,-y,z'
'-y,x,-z'
'-x,y,z'
'-y,-x,-z'
'x,-y,z'
'y,x,-z'
loop_
_atom_site_label
_atom_site_fract_x
_atom_site_fract_y
_atom_site_fract_z
_atom_site_occupancy
Nd1 0.000 0.500 0.244 1
Al1 0.000 0.000 0.500 1
Zn1 0.000 0.500 0.867 1
Zn2 0.500 0.500 0.500 1
Pd1 0.000 0.000 0.000 1
Pd2 0.000 0.500 0.632 1
Pd3 0.500 0.500 0.000 1
```


No. 6
# NdAlZn2Pd
Computed powder XRD pattern, Cu Kα (weighted mean of Kα1 and Kα2). Input: a crystal structure in Alexandria, relaxed with PBE.
Neutral-atom scattering factors, no anomalous dispersion.

Main lines, by angle (2θ = 10–90°):
hkl 0 1 3, 2θ 31.83, I = 20; hkl 0 0 4, 2θ 32.71, I = 13; hkl 1 0 3, 2θ 33.22, I = 22; hkl 1 1 2, 2θ 34.42, I = 100; hkl 0 2 0, 2θ 40.96, I = 24; hkl 2 0 0, 2θ 45.33, I = 18; hkl 0 1 5, 2θ 46.29, I = 14; hkl 1 1 6, 2θ 59.49, I = 14; hkl 2 2 0, 2θ 62.74, I = 13; hkl 1 3 2, 2θ 70.42, I = 12

Structural model:
```
data_NdAlZn2Pd
_cell_length_a 4.001
_cell_length_b 4.407
_cell_length_c 10.952
_cell_angle_alpha 90.00
_cell_angle_beta 90.00
_cell_angle_gamma 90.00
_symmetry_space_group_name_H-M 'I m m 2'
_symmetry_Int_Tables_number 44
loop_
_symmetry_equiv_pos_as_xyz
'x,y,z'
'-x,-y,z'
'-x,y,z'
'x,-y,z'
'x+1/2,y+1/2,z+1/2'
'-x+1/2,-y+1/2,z+1/2'
'-x+1/2,y+1/2,z+1/2'
'x+1/2,-y+1/2,z+1/2'
loop_
_atom_site_label
_atom_site_fract_x
_atom_site_fract_y
_atom_site_fract_z
_atom_site_occupancy
Nd1 0.000 0.000 0.000 1
Al1 0.000 0.000 0.380 1
Zn1 0.000 0.000 0.612 1
Zn2 0.000 0.500 0.256 1
Pd1 0.000 0.500 0.744 1
```


No. 7
# Pm7NdAl4
Computed powder XRD pattern, Cu Kα (weighted mean of Kα1 and Kα2). Input: a crystal structure in Alexandria, relaxed with PBE.
Neutral-atom scattering factors, no anomalous dispersion.

Main lines, by angle (2θ = 10–90°):
hkl 1 1 -2, 2θ 23.22, I = 54; hkl 4 0 -1, 2θ 26.27, I = 56; hkl 4 0 -3, 2θ 28.47, I = 52; hkl 1 1 2, 2θ 29.91, I = 67; hkl 3 1 -3, 2θ 30.23, I = 60; hkl 0 2 0, 2θ 31.67, I = 100; hkl 3 1 1, 2θ 33.97, I = 32; hkl 5 1 -1, 2θ 37.48, I = 35; hkl 4 2 -1, 2θ 41.61, I = 33; hkl 4 2 -3, 2θ 43.11, I = 33

Structural model:
```
data_Pm7NdAl4
_cell_length_a 14.107
_cell_length_b 5.647
_cell_length_c 10.691
_cell_angle_alpha 90.00
_cell_angle_beta 124.37
_cell_angle_gamma 90.00
_symmetry_space_group_name_H-M 'C 1 2/m 1'
_symmetry_Int_Tables_number 12
loop_
_symmetry_equiv_pos_as_xyz
'x,y,z'
'-x,-y,-z'
'-x,y,-z'
'x,-y,z'
'x+1/2,y+1/2,z'
'-x+1/2,-y+1/2,-z'
'-x+1/2,y+1/2,-z'
'x+1/2,-y+1/2,z'
loop_
_atom_site_label
_atom_site_fract_x
_atom_site_fract_y
_atom_site_fract_z
_atom_site_occupancy
Pm1 0.000 0.000 0.000 1
Pm2 0.065 0.500 0.388 1
Pm3 0.203 0.000 0.645 1
Pm4 0.207 0.500 0.879 1
Nd1 0.000 0.500 0.000 1
Al1 0.052 0.000 0.760 1
Al2 0.176 0.000 0.331 1
```


No. 8
# PmNdAl
Computed powder XRD pattern, Cu Kα (weighted mean of Kα1 and Kα2). Input: a crystal structure in Alexandria, relaxed with PBE.
Neutral-atom scattering factors, no anomalous dispersion.

Main lines, by angle (2θ = 10–90°):
hkl 0 0 4, 2θ 25.38, I = 26; hkl 1 0 1, 2θ 26.08, I = 43; hkl 1 0 3, 2θ 31.80, I = 100; hkl 1 1 0, 2θ 36.06, I = 41; hkl 1 1 4, 2θ 44.61, I = 23; hkl 2 0 0, 2θ 51.91, I = 15; hkl 1 0 7, 2θ 52.51, I = 19; hkl 1 1 6, 2θ 53.75, I = 14; hkl 2 1 3, 2θ 62.17, I = 29; hkl 2 1 7, 2θ 76.97, I = 12

Structural model:
```
data_PmNdAl
_cell_length_a 3.523
_cell_length_b 3.523
_cell_length_c 14.036
_cell_angle_alpha 90.00
_cell_angle_beta 90.00
_cell_angle_gamma 90.00
_symmetry_space_group_name_H-M 'I 4 m m'
_symmetry_Int_Tables_number 107
_symmetry_space_group_name_Hall 'I 4 -2'
loop_
_atom_site_label
_atom_site_fract_x
_atom_site_fract_y
_atom_site_fract_z
_atom_site_occupancy
Pm1 0.000 0.000 0.000 1
Nd1 0.000 0.000 0.709 1
Al1 0.000 0.000 0.356 1
```


No. 9
# PmNdAlSi
Computed powder XRD pattern, Cu Kα (weighted mean of Kα1 and Kα2). Input: a crystal structure in Alexandria, relaxed with PBE.
Neutral-atom scattering factors, no anomalous dispersion.

Main lines, by angle (2θ = 10–90°):
hkl 0 1 1, 2θ 21.40, I = 33; hkl 1 0 2, 2θ 27.00, I = 64; hkl 1 1 1, 2θ 30.74, I = 100; hkl 0 1 3, 2θ 31.12, I = 58; hkl 0 0 4, 2θ 31.78, I = 27; hkl 1 1 3, 2θ 38.32, I = 30; hkl 0 2 0, 2θ 40.39, I = 23; hkl 1 2 2, 2θ 49.26, I = 25; hkl 1 1 5, 2θ 50.61, I = 22; hkl 2 1 3, 2θ 55.25, I = 23

Structural model:
```
data_PmNdAlSi
_cell_length_a 4.077
_cell_length_b 4.467
_cell_length_c 11.262
_cell_angle_alpha 90.00
_cell_angle_beta 90.00
_cell_angle_gamma 90.00
_symmetry_space_group_name_H-M 'A m m 2'
_symmetry_Int_Tables_number 38
loop_
_symmetry_equiv_pos_as_xyz
'x,y,z'
'-x,-y,z'
'-x,y,z'
'x,-y,z'
'x,y+1/2,z+1/2'
'-x,-y+1/2,z+1/2'
'-x,y+1/2,z+1/2'
'x,-y+1/2,z+1/2'
loop_
_atom_site_label
_atom_site_fract_x
_atom_site_fract_y
_atom_site_fract_z
_atom_site_occupancy
Pm1 0.000 0.000 0.000 1
Nd1 0.500 0.000 0.716 1
Al1 0.500 0.000 0.425 1
Si1 0.000 0.000 0.287 1
```


No. 10
# Pr6NdAl2
Computed powder XRD pattern, Cu Kα (weighted mean of Kα1 and Kα2). Input: a crystal structure in Alexandria, relaxed with PBE.
Neutral-atom scattering factors, no anomalous dispersion.

Main lines, by angle (2θ = 10–90°):
hkl 1 1 -1, 2θ 24.67, I = 24; hkl 4 0 -1, 2θ 27.37, I = 19; hkl 2 0 -4, 2θ 29.60, I = 20; hkl 4 0 -3, 2θ 30.60, I = 46; hkl 2 0 3, 2θ 31.31, I = 47; hkl 3 1 0, 2θ 31.84, I = 100; hkl 1 1 -3, 2θ 32.01, I = 100; hkl 5 1 -4, 2θ 46.22, I = 20; hkl 0 2 0, 2θ 47.17, I = 19; hkl 2 2 3, 2θ 57.72, I = 24

Structural model:
```
data_Pr6NdAl2
_cell_length_a 13.065
_cell_length_b 3.854
_cell_length_c 12.193
_cell_angle_alpha 90.00
_cell_angle_beta 109.40
_cell_angle_gamma 90.00
_symmetry_space_group_name_H-M 'C 1 2/m 1'
_symmetry_Int_Tables_number 12
loop_
_symmetry_equiv_pos_as_xyz
'x,y,z'
'-x,-y,-z'
'-x,y,-z'
'x,-y,z'
'x+1/2,y+1/2,z'
'-x+1/2,-y+1/2,-z'
'-x+1/2,y+1/2,-z'
'x+1/2,-y+1/2,z'
loop_
_atom_site_label
_atom_site_fract_x
_atom_site_fract_y
_atom_site_fract_z
_atom_site_occupancy
Pr1 0.025 0.000 0.325 1
Pr2 0.187 0.500 0.875 1
Pr3 0.189 0.500 0.590 1
Nd1 0.000 0.000 0.000 1
Al1 0.151 0.500 0.202 1
```


No. 11
# Pr5NdAl3
Computed powder XRD pattern, Cu Kα (weighted mean of Kα1 and Kα2). Input: a crystal structure in Alexandria, relaxed with PBE.
Neutral-atom scattering factors, no anomalous dispersion.

Main lines, by angle (2θ = 10–90°):
hkl 1 1 0, 2θ 18.88, I = 12; hkl 1 1 1, 2θ 22.85, I = 44; hkl 1 1 2, 2θ 32.06, I = 100; hkl 3 0 0, 2θ 33.01, I = 87; hkl 2 2 2, 2θ 46.68, I = 35; hkl 4 1 2, 2θ 58.36, I = 36; hkl 3 3 0, 2θ 58.95, I = 16; hkl 3 0 4, 2θ 63.66, I = 26; hkl 5 2 2, 2θ 78.36, I = 15; hkl 3 3 4, 2θ 83.06, I = 12

Structural model:
```
data_Pr5NdAl3
_cell_length_a 9.4000
_cell_length_b 9.4000
_cell_length_c 6.9404
_cell_angle_alpha 90.00
_cell_angle_beta 90.00
_cell_angle_gamma 120.00
_symmetry_space_group_name_H-M 'P 63/m c m'
_symmetry_Int_Tables_number 193
_symmetry_space_group_name_Hall '-P 6c 2'
loop_
_atom_site_label
_atom_site_fract_x
_atom_site_fract_y
_atom_site_fract_z
_atom_site_occupancy
Pr1 0.0000 0.3343 0.2500 1
Pr2 0.3333 0.6667 0.0000 1
Nd1 0.0000 0.0000 0.0000 1
Al1 0.0000 0.3313 0.7500 1
```


No. 12
# PrNd3Al2
Computed powder XRD pattern, Cu Kα (weighted mean of Kα1 and Kα2). Input: a crystal structure in Alexandria, relaxed with PBE.
Neutral-atom scattering factors, no anomalous dispersion.

Main lines, by angle (2θ = 10–90°):
hkl 0 2 1, 2θ 22.27, I = 24; hkl 1 1 1, 2θ 23.20, I = 37; hkl 1 2 1, 2θ 28.03, I = 40; hkl 1 0 2, 2θ 31.44, I = 27; hkl 1 3 0, 2θ 32.03, I = 100; hkl 1 1 2, 2θ 32.75, I = 71; hkl 2 0 0, 2θ 33.97, I = 43; hkl 2 2 2, 2θ 47.42, I = 21; hkl 1 4 3, 2θ 58.08, I = 24; hkl 3 1 2, 2θ 60.02, I = 23

Structural model:
```
data_PrNd3Al2
_cell_length_a 5.278
_cell_length_b 9.893
_cell_length_c 6.758
_cell_angle_alpha 90.00
_cell_angle_beta 90.00
_cell_angle_gamma 90.00
_symmetry_space_group_name_H-M 'P m c 21'
_symmetry_Int_Tables_number 26
loop_
_symmetry_equiv_pos_as_xyz
'x,y,z'
'-x,-y,z+1/2'
'-x,y,z'
'x,-y,z+1/2'
loop_
_atom_site_label
_atom_site_fract_x
_atom_site_fract_y
_atom_site_fract_z
_atom_site_occupancy
Pr1 0.000 0.047 0.000 1
Nd1 0.000 0.329 0.663 1
Nd2 0.500 0.173 0.287 1
Nd3 0.500 0.452 0.951 1
Al1 0.000 0.352 0.183 1
Al2 0.500 0.149 0.766 1
```